Structure and computed powder XRD pattern of Nb4Tc2Mo3 (a structure optimized by DFT (PBE); a wavelength of 1.5418 Å).
Intensities are scaled so that the largest is 100.

Peak list (3 most intense, 5 to 70 degrees two-theta, low angle first)
2θ/deg	I_rel	hkl
39.53	100	1 0 3
39.92	98	1 1 0
57.44	32	0 2 3

Structure:
Unit cell a=4.5171 b=4.5171 c=8.4146 alpha=90.00 beta=90.00 gamma=120.00
Space group P-3m1 (No. 164)
One atom of each set of equivalent atoms:
Nb: 0.0000 0.0000 0.1706 [2 per cell]
Nb: 0.3333 0.6667 0.3899 [2 per cell]
Tc: 0.3333 0.6667 0.7254 [2 per cell]
Mo: 0.0000 0.0000 0.5000 [1 per cell]
Mo: 0.3333 0.6667 0.0494 [2 per cell]


Structure and computed powder XRD pattern of Nb4TcMo5 (a structure optimized by DFT (PBE); a wavelength of 1.5418 Å).
Intensities are scaled so that the largest is 100.

Peak list (3 most intense, 5 to 70 degrees two-theta, low angle first)
2θ/deg	I_rel	hkl
39.67	100	1 1 0
57.18	5	0 0 10
57.45	11	2 0 0

Structure:
Unit cell a=3.2084 b=3.2084 c=16.1105 alpha=90.00 beta=90.00 gamma=90.00
Space group P4/mmm (No. 123)
One atom of each set of equivalent atoms:
Nb: 0.0000 0.0000 0.1009 [2 per cell]
Nb: 0.0000 0.0000 0.3023 [2 per cell]
Tc: 0.0000 0.0000 0.5000 [1 per cell]
Mo: 0.5000 0.5000 0.0000 [1 per cell]
Mo: 0.5000 0.5000 0.2029 [2 per cell]
Mo: 0.5000 0.5000 0.4042 [2 per cell]


Structure and computed powder XRD pattern of Nb6Tc5Mo (a structure optimized by DFT (PBE); a wavelength of 1.5418 Å).
Intensities are scaled so that the largest is 100.

Peak list (3 most intense, 5 to 70 degrees two-theta, low angle first)
2θ/deg	I_rel	hkl
39.82	100	1 2 3
39.96	20	2 0 0
57.62	20	2 0 6

Structure:
Unit cell a=4.5124 b=6.4032 c=13.6042 alpha=90.00 beta=90.00 gamma=90.00
Space group Immm (No. 71)
One atom of each set of equivalent atoms:
Nb: 0.0000 0.2497 0.0000 [4 per cell]
Nb: 0.0000 0.2501 0.3332 [8 per cell]
Tc: 0.0000 0.0000 0.1667 [4 per cell]
Tc: 0.0000 0.5000 0.1678 [4 per cell]
Tc: 0.0000 0.5000 0.5000 [2 per cell]
Mo: 0.0000 0.0000 0.5000 [2 per cell]